This entry pairs a crystal structure of AlSiPN4 with its simulated powder XRD pattern. Radiation: Cu Ka. Structure: a crystal structure in Alexandria, relaxed with GGA-PBE.

Structure:
a = 9.7678 Å, b = 3.0100 Å, c = 4.7930 Å
α = 90.00°, β = 101.77°, γ = 90.00°
Space group Cm (No. 8)
Unique sites:
Al1 0.0000 0.0000 0.0000 (multiplicity 2)
Si1 0.3676 0.0000 0.5146 (multiplicity 2)
P1 0.1307 0.5000 0.4895 (multiplicity 2)
N1 0.0503 0.5000 0.7610 (multiplicity 2)
N2 0.1750 0.0000 0.3344 (multiplicity 2)
N3 0.3192 0.5000 0.6691 (multiplicity 2)
N4 0.4604 0.0000 0.2404 (multiplicity 2)

The 6 most intense peaks (2θ from 10° to 90°), sorted by position:
hkl	two_theta	I/Imax
2 0 0	18.56	35
0 0 1	18.91	83
2 0 -1	23.70	58
1 1 -1	35.65	100
4 0 1	45.99	57
3 1 -2	53.08	52

This entry pairs a crystal structure of CeNbH with its simulated powder XRD pattern. Radiation: Cu Ka. Structure: a crystal structure in Alexandria, relaxed with GGA-PBE.

Structure:
a = 8.6318 Å, b = 8.9115 Å, c = 6.6587 Å
α = 90.00°, β = 130.18°, γ = 90.00°
Space group C2/c (No. 15)
Unique sites:
Ce1 0.1450 0.1250 0.0394 (multiplicity 8)
Nb1 0.0000 0.5000 0.0000 (multiplicity 4)
Nb2 0.2500 0.2500 0.5000 (multiplicity 4)
H1 0.0000 0.1191 0.2500 (multiplicity 4)
H2 0.0000 0.3684 0.7500 (multiplicity 4)

The 6 most intense peaks (2θ from 10° to 90°), sorted by position:
hkl	two_theta	I/Imax
2 2 -1	28.80	97
1 3 -1	33.09	83
3 1 -1	33.86	100
3 1 -2	33.94	39
0 0 2	35.28	70
1 3 1	41.75	71

This entry pairs a crystal structure of AgSb2Mo with its simulated powder XRD pattern. Radiation: Cu Ka. Structure: a crystal structure in Alexandria, relaxed with GGA-PBE.

Structure:
a = 4.5691 Å, b = 3.4715 Å, c = 10.5050 Å
α = 90.00°, β = 90.00°, γ = 90.00°
Space group Amm2 (No. 38)
Unique sites:
Ag1 0.0000 0.0000 0.0000 (multiplicity 2)
Sb1 0.0000 0.0000 0.7363 (multiplicity 2)
Sb2 0.5000 0.0000 0.4540 (multiplicity 2)
Mo1 0.5000 0.0000 0.1686 (multiplicity 2)

The 6 most intense peaks (2θ from 10° to 90°), sorted by position:
hkl	two_theta	I/Imax
1 1 1	33.52	100
0 0 4	34.14	30
2 0 0	39.44	37
1 0 4	39.58	27
1 1 3	41.63	64
2 2 0	67.79	27